(1)
# Tb2CuB8O16
Computed powder diffraction line list, CuKα. Input: a crystal structure in the Materials Project, relaxed with PBE.

Most intense lines, 2θ from 15° to 90°, in order of rising 2θ:
hkl, d_spacing, I/Imax
0 1 1, 5.053, 100
0 2 0, 4.233, 45
0 0 2, 3.149, 31
3 1 -1, 2.845, 29
3 1 1, 2.830, 25
3 2 0, 2.665, 42
0 2 2, 2.527, 22
0 1 3, 2.038, 40

Structural model:
Cell lengths 10.2888, 8.4669, 6.2977 Å; angles 90.00, 90.44, 90.00 degrees
Space group P2_1/c (No. 14)
Inequivalent atoms, fractional coordinates:
1 Tb 0.1821 0.0110 0.4927
2 Cu 0.5000 0.0000 0.5000
3 B 0.0007 0.6814 0.6104
4 B 0.1938 0.0056 0.9919
5 B 0.3709 0.6933 0.3785
6 B 0.3847 0.1888 0.1137
7 O 0.0117 0.6646 0.0569
8 O 0.1065 0.5801 0.6384
9 O 0.1234 0.1178 0.8486
10 O 0.2627 0.5960 0.3413
11 O 0.2787 0.0886 0.1447
12 O 0.3554 0.6547 0.9371
13 O 0.3652 0.1593 0.5561
14 O 0.4926 0.6246 0.3496

(2)
# TmCuB5O10
Computed powder diffraction line list, CuKα. Input: a crystal structure in the Materials Project, relaxed with PBE.

Most intense lines, 2θ from 15° to 90°, in order of rising 2θ:
hkl, d_spacing, I/Imax
1 1 0, 5.075, 100
0 2 0, 4.276, 39
2 0 0, 3.153, 28
1 1 4, 2.689, 36
0 2 4, 2.547, 36
3 1 0, 2.041, 23
1 3 4, 2.009, 34
2 2 4, 1.981, 29

Structural model:
Cell lengths 6.3062, 8.5513, 12.6816 Å; angles 90.00, 90.00, 90.00 degrees
Space group Ibam (No. 72)
Inequivalent atoms, fractional coordinates:
1 Tm 0.0000 0.0000 0.2500
2 Cu 0.0000 0.0000 0.0000
3 B 0.0000 0.5000 0.2500
4 B 0.1160 0.3083 0.0993
5 O 0.0609 0.1564 0.1129
6 O 0.1478 0.3739 0.0000
7 O 0.1498 0.4060 0.1860

(3)
# Tm2CuB4O10
Computed powder diffraction line list, CuKα. Input: a crystal structure in the Materials Project, relaxed with PBE.

Most intense lines, 2θ from 15° to 90°, in order of rising 2θ:
hkl, d_spacing, I/Imax
1 0 0, 4.579, 100
0 1 2, 3.920, 35
0 2 1, 3.375, 43
0 1 3, 2.856, 43
1 2 1, 2.717, 90
1 1 -3, 2.428, 44
1 1 3, 2.419, 47
2 2 -1, 1.895, 32

Structural model:
Cell lengths 4.5794, 7.2417, 9.3254 Å; angles 90.00, 90.26, 90.00 degrees
Space group P2_1/c (No. 14)
Inequivalent atoms, fractional coordinates:
1 Tm 0.0029 0.1033 0.1648
2 Cu 0.0000 0.0000 0.5000
3 B 0.4609 0.7307 0.5796
4 B 0.4715 0.0981 0.6633
5 O 0.2135 0.5896 0.8326
6 O 0.2280 0.6099 0.5410
7 O 0.3225 0.5887 0.1385
8 O 0.3405 0.1635 0.8020
9 O 0.3579 0.2233 0.5490

(4)
# ZnCu2B2O6
Computed powder diffraction line list, CuKα. Input: a crystal structure in the Materials Project, relaxed with PBE.

Most intense lines, 2θ from 15° to 90°, in order of rising 2θ:
hkl, d_spacing, I/Imax
0 2 1, 5.820, 42
0 3 1, 4.388, 41
1 0 -2, 2.888, 100
1 1 -2, 2.836, 20
1 0 2, 2.573, 39
0 5 2, 2.512, 70
1 5 0, 2.229, 28
1 5 -4, 1.677, 32

Structural model:
Cell lengths 3.3743, 14.9330, 9.3599 Å; angles 90.00, 96.97, 90.00 degrees
Space group P2_1/c (No. 14)
Inequivalent atoms, fractional coordinates:
1 Zn 0.2331 0.1381 0.3637
2 Cu 0.2994 0.5432 0.3654
3 Cu 0.3466 0.7407 0.8766
4 B 0.1667 0.5793 0.8328
5 B 0.1825 0.1520 0.9040
6 O 0.0253 0.6513 0.7367
7 O 0.1088 0.0069 0.2937
8 O 0.2305 0.2340 0.9685
9 O 0.3068 0.6549 0.2623
10 O 0.3185 0.0735 0.9641
11 O 0.3622 0.6159 0.9552

(5)
# CuBSe2
Computed powder diffraction line list, CuKα. Input: a crystal structure in the Materials Project, relaxed with PBE.

Most intense lines, 2θ from 15° to 90°, in order of rising 2θ:
hkl, d_spacing, I/Imax
1 1 2, 2.978, 100
1 0 3, 2.768, 12
2 1 1, 2.314, 22
2 2 0, 1.884, 19
2 0 4, 1.795, 37
3 1 2, 1.592, 22
1 1 6, 1.488, 13
3 1 6, 1.168, 8

Structural model:
Cell lengths 5.3277, 5.3277, 9.7210 Å; angles 90.00, 90.00, 90.00 degrees
Space group I-42d (No. 122)
Inequivalent atoms, fractional coordinates:
1 Cu 0.0000 0.0000 0.0000
2 B 0.0000 0.0000 0.5000
3 Se 0.2025 0.7500 0.6250

Please write out number 3 again, unchanged.
# Tm2CuB4O10
Computed powder diffraction line list, CuKα. Input: a crystal structure in the Materials Project, relaxed with PBE.

Most intense lines, 2θ from 15° to 90°, in order of rising 2θ:
hkl, d_spacing, I/Imax
1 0 0, 4.579, 100
0 1 2, 3.920, 35
0 2 1, 3.375, 43
0 1 3, 2.856, 43
1 2 1, 2.717, 90
1 1 -3, 2.428, 44
1 1 3, 2.419, 47
2 2 -1, 1.895, 32

Structural model:
Cell lengths 4.5794, 7.2417, 9.3254 Å; angles 90.00, 90.26, 90.00 degrees
Space group P2_1/c (No. 14)
Inequivalent atoms, fractional coordinates:
1 Tm 0.0029 0.1033 0.1648
2 Cu 0.0000 0.0000 0.5000
3 B 0.4609 0.7307 0.5796
4 B 0.4715 0.0981 0.6633
5 O 0.2135 0.5896 0.8326
6 O 0.2280 0.6099 0.5410
7 O 0.3225 0.5887 0.1385
8 O 0.3405 0.1635 0.8020
9 O 0.3579 0.2233 0.5490